No. 1
Calculated powder diffraction line list of Li2V2SiGeO10 for Cu Kα X-rays, from the PBE+U geometry in the Materials Project.

Peak list (6 most intense, 2θ = 5–70°, low angle first)
h k l, two_theta, intensity
1 0 0, 18.90, 100
1 1 1, 23.48, 36
0 2 2, 27.82, 99
1 2 2, 33.85, 80
2 1 1, 40.94, 16
0 4 4, 57.48, 24

Structure:
Lattice parameters (Å, degrees): 4.6945 9.1096 9.0316 90.00 90.00 90.00
Space group Pccm (No. 49)
Symmetry-distinct sites (fractional):
Li  0.0000  0.2418  0.2500 [4 per cell]
V  0.3935  0.2449  0.0000 [4 per cell]
Si  0.5000  0.0000  0.2500 [2 per cell]
Ge  0.5000  0.5000  0.2500 [2 per cell]
O  0.2588  0.2491  0.5000 [4 per cell]
O  0.2764  0.3842  0.1444 [8 per cell]
O  0.2932  0.1048  0.1478 [8 per cell]

---

No. 2
Calculated powder diffraction line list of LiVGe2O6 for Cu Kα X-rays, from the PBE+U geometry in the Materials Project.

Peak list (6 most intense, 2θ = 5–70°, low angle first)
h k l, two_theta, intensity
0 2 0, 20.01, 35
1 2 -1, 26.38, 47
1 2 1, 29.25, 100
3 1 0, 29.95, 88
2 0 -2, 34.41, 44
3 2 -1, 35.51, 42

Structure:
Lattice parameters (Å, degrees): 9.8084 8.8755 5.4730 90.00 104.37 90.00
Space group P2_1/c (No. 14)
Symmetry-distinct sites (fractional):
Li  0.2435  0.0153  0.4587 [4 per cell]
V  0.2480  0.6559  0.4587 [4 per cell]
Ge  0.0519  0.1593  0.8191 [4 per cell]
Ge  0.4553  0.1573  0.2367 [4 per cell]
O  0.1117  0.1891  0.1533 [4 per cell]
O  0.1316  0.5022  0.2398 [4 per cell]
O  0.1354  0.6675  0.7468 [4 per cell]
O  0.3582  0.6658  0.1765 [4 per cell]
O  0.3827  0.5202  0.6740 [4 per cell]
O  0.3840  0.2099  0.4955 [4 per cell]

---

No. 3
Calculated powder diffraction line list of Li2VGeO5 for Cu Kα X-rays, from the PBE+U geometry in the Materials Project.

Peak list (6 most intense, 2θ = 5–70°, low angle first)
h k l, two_theta, intensity
0 0 1, 19.26, 78
2 0 0, 27.03, 100
2 0 1, 33.40, 96
2 2 1, 43.48, 28
4 0 0, 55.72, 25
2 2 2, 56.11, 26

Structure:
Lattice parameters (Å, degrees): 6.5984 6.5984 4.6074 90.00 90.00 90.00
Space group P4/nmm (No. 129, origin choice 2)
Symmetry-distinct sites (fractional):
Li  0.0000  0.0000  0.0000 [4 per cell]
V  0.2500  0.2500  0.4054 [2 per cell]
Ge  0.2500  0.7500  0.5000 [2 per cell]
O  0.0362  0.7500  0.7326 [8 per cell]
O  0.2500  0.2500  0.7698 [2 per cell]